# 1
Ba2UAs2S2: simulated PXRD pattern (Cu Kα), based on a DFT-relaxed cell (PBE, Alexandria).
Lines closer than 0.1° are merged.

Main lines, by angle (5° ≤ 2θ ≤ 70°):
- 7.976 Å, 11.09°, rel. 50, (0 0 2)
- 3.772 Å, 23.59°, rel. 100, (1 1 0)
- 2.740 Å, 32.68°, rel. 28, (1 0 5)
- 2.671 Å, 33.55°, rel. 44, (2 0 0)
- 2.659 Å, 33.71°, rel. 16, (0 0 6)
- 2.179 Å, 41.43°, rel. 31, (2 1 3)
- 1.913 Å, 47.54°, rel. 14, (2 1 5)
- 1.889 Å, 48.17°, rel. 16, (2 2 0)
- 1.884 Å, 48.30°, rel. 23, (2 0 6)
- 1.689 Å, 54.31°, rel. 14, (3 0 3)

Atomic structure:
```
data_Ba2UAs2S2
_chemical_formula_sum 'Ba4 U2 As4 S4'
_symmetry_space_group_name_H-M 'I 4/m m m'
_symmetry_Int_Tables_number 139
_symmetry_space_group_name_Hall '-I 4 2'
_cell_length_a 5.343
_cell_length_b 5.343
_cell_length_c 15.952
_cell_angle_alpha 90.00
_cell_angle_beta 90.00
_cell_angle_gamma 90.00
loop_
_atom_site_label
_atom_site_fract_x
_atom_site_fract_y
_atom_site_fract_z
_atom_site_occupancy
Ba1 0.000 0.000 0.142 1
U1 0.000 0.000 0.500 1
As1 0.000 0.500 0.000 1
S1 0.000 0.000 0.336 1
```

# 2
BaYAs2S8: simulated PXRD pattern (Cu Kα), based on a DFT-relaxed cell (PBE, Alexandria).
Lines closer than 0.1° are merged.

Main lines, by angle (5° ≤ 2θ ≤ 70°):
- 5.341 Å, 16.60°, rel. 20, (1 0 0)
- 4.640 Å, 19.13°, rel. 44, (1 0 1)
- 3.521 Å, 25.29°, rel. 100, (1 0 2)
- 3.083 Å, 28.96°, rel. 57, (1 1 0)
- 2.929 Å, 30.52°, rel. 40, (1 1 1)
- 2.575 Å, 34.83°, rel. 32, (2 -1 2)
- 2.320 Å, 38.82°, rel. 30, (2 0 2)
- 1.865 Å, 48.83°, rel. 46, (1 1 4)
- 1.854 Å, 49.15°, rel. 31, (3 -1 2)
- 1.780 Å, 51.32°, rel. 37, (3 0 0)

Atomic structure:
```
data_BaYAs2S8
_chemical_formula_sum 'Ba1 Y1 As2 S8'
_symmetry_space_group_name_H-M 'P -3'
_symmetry_Int_Tables_number 147
_cell_length_a 6.1670
_cell_length_b 6.1670
_cell_length_c 9.3678
_cell_angle_alpha 90.00
_cell_angle_beta 90.00
_cell_angle_gamma 120.00
loop_
_symmetry_equiv_pos_as_xyz
'x,y,z'
'-x,-y,-z'
'-y,x-y,z'
'y,-x+y,-z'
'-x+y,-x,z'
'x-y,x,-z'
loop_
_atom_site_label
_atom_site_fract_x
_atom_site_fract_y
_atom_site_fract_z
_atom_site_occupancy
Ba1 0.0000 0.0000 0.0000 1
Y1 0.0000 0.0000 0.5000 1
As1 0.3333 0.6667 0.7522 1
S1 0.0194 0.6705 0.3090 1
S2 0.3333 0.6667 0.9848 1
```

# 3
Ba5Sb2TeAs: simulated PXRD pattern (Cu Kα), based on a DFT-relaxed cell (PBE, Alexandria).
Lines closer than 0.1° are merged.

Main lines, by angle (5° ≤ 2θ ≤ 70°):
- 4.167 Å, 21.32°, rel. 35, (1 1 2)
- 4.091 Å, 21.72°, rel. 47, (1 0 3)
- 3.330 Å, 26.77°, rel. 100, (1 2 1)
- 3.036 Å, 29.42°, rel. 86, (0 2 4)
- 2.990 Å, 29.88°, rel. 34, (1 0 5)
- 2.934 Å, 30.47°, rel. 51, (1 2 3)
- 2.921 Å, 30.60°, rel. 28, (0 0 6)
- 2.865 Å, 31.22°, rel. 59, (2 0 0)
- 2.083 Å, 43.43°, rel. 58, (2 2 4)
- 1.696 Å, 54.07°, rel. 24, (2 4 0)

Atomic structure:
```
data_Ba5Sb2TeAs
_chemical_formula_sum 'Ba10 Sb4 Te2 As2'
_symmetry_space_group_name_H-M 'I m m m'
_symmetry_Int_Tables_number 71
_symmetry_space_group_name_Hall '-I 2 2'
_cell_length_a 5.730
_cell_length_b 8.418
_cell_length_c 17.529
_cell_angle_alpha 90.00
_cell_angle_beta 90.00
_cell_angle_gamma 90.00
loop_
_atom_site_label
_atom_site_fract_x
_atom_site_fract_y
_atom_site_fract_z
_atom_site_occupancy
Ba1 0.000 0.000 0.000 1
Ba2 0.000 0.246 0.358 1
Sb1 0.000 0.000 0.197 1
Te1 0.000 0.500 0.000 1
As1 0.000 0.500 0.500 1
```

# 4
Ba2ScAs: simulated PXRD pattern (Cu Kα), based on a DFT-relaxed cell (PBE, Alexandria).
Lines closer than 0.1° are merged.

Main lines, by angle (5° ≤ 2θ ≤ 70°):
- 3.852 Å, 23.09°, rel. 18, (1 0 1)
- 3.364 Å, 26.50°, rel. 33, (0 1 3)
- 3.078 Å, 29.01°, rel. 9, (0 0 4)
- 2.934 Å, 30.47°, rel. 100, (0 2 0)
- 2.335 Å, 38.56°, rel. 9, (1 2 1)
- 2.262 Å, 39.84°, rel. 9, (1 1 4)
- 2.105 Å, 42.97°, rel. 10, (1 0 5)
- 1.737 Å, 52.71°, rel. 10, (2 1 3)
- 1.711 Å, 53.57°, rel. 11, (1 2 5)
- 1.694 Å, 54.13°, rel. 18, (1 3 2)

Atomic structure:
```
data_Ba2ScAs
_chemical_formula_sum 'Ba4 Sc2 As2'
_symmetry_space_group_name_H-M 'I m m 2'
_symmetry_Int_Tables_number 44
_cell_length_a 4.055
_cell_length_b 5.871
_cell_length_c 12.312
_cell_angle_alpha 90.00
_cell_angle_beta 90.00
_cell_angle_gamma 90.00
loop_
_symmetry_equiv_pos_as_xyz
'x,y,z'
'-x,-y,z'
'-x,y,z'
'x,-y,z'
'x+1/2,y+1/2,z+1/2'
'-x+1/2,-y+1/2,z+1/2'
'-x+1/2,y+1/2,z+1/2'
'x+1/2,-y+1/2,z+1/2'
loop_
_atom_site_label
_atom_site_fract_x
_atom_site_fract_y
_atom_site_fract_z
_atom_site_occupancy
Ba1 0.000 0.000 0.000 1
Ba2 0.000 0.500 0.184 1
Sc1 0.000 0.500 0.811 1
As1 0.000 0.000 0.452 1
```

# 5
Ba2AsSe5: simulated PXRD pattern (Cu Kα), based on a DFT-relaxed cell (PBE, Alexandria).
Lines closer than 0.1° are merged.

Main lines, by angle (5° ≤ 2θ ≤ 70°):
- 3.371 Å, 26.44°, rel. 35, (0 1 1)
- 3.355 Å, 26.57°, rel. 67, (1 0 -2)
- 3.326 Å, 26.80°, rel. 32, (-2 1 1)
- 2.864 Å, 31.23°, rel. 97, (0 2 0)
- 2.836 Å, 31.55°, rel. 100, (2 -2 0)
- 2.713 Å, 33.01°, rel. 85, (0 2 -2)
- 2.701 Å, 33.17°, rel. 80, (2 0 0)
- 2.114 Å, 42.77°, rel. 32, (1 2 0)
- 1.914 Å, 47.50°, rel. 52, (2 2 -2)
- 1.594 Å, 57.86°, rel. 31, (2 0 2)

Atomic structure:
```
data_Ba2AsSe5
_chemical_formula_sum 'Ba2 As1 Se5'
_symmetry_space_group_name_H-M 'P 1'
_symmetry_Int_Tables_number 1
_cell_length_a 6.838
_cell_length_b 6.904
_cell_length_c 6.905
_cell_angle_alpha 103.63
_cell_angle_beta 112.24
_cell_angle_gamma 112.32
loop_
_symmetry_equiv_pos_as_xyz
'x,y,z'
loop_
_atom_site_label
_atom_site_fract_x
_atom_site_fract_y
_atom_site_fract_z
_atom_site_occupancy
Ba1 0.000 0.000 0.000 1
Ba2 0.001 0.489 0.512 1
As1 0.572 0.352 0.864 1
Se1 0.011 0.521 0.033 1
Se2 0.503 0.007 0.972 1
Se3 0.503 0.459 0.519 1
Se4 0.569 0.675 0.189 1
Se5 0.987 0.970 0.481 1
```